[1]
# NaHoPu2O8
Calculated XRD peak list, Cu Kα. Input: a PBE-relaxed structure.

```
NaHoPu2O8
1.0
-2.658 2.658 5.189
2.658 -2.658 5.189
2.658 2.658 -5.189
Na Ho Pu O
1 1 2 8
direct
0.000 0.000 0.000
0.250 0.750 0.500
0.500 0.500 0.000
0.750 0.250 0.500
0.129 0.146 0.529
0.129 0.600 0.983
0.400 0.383 0.529
0.400 0.871 0.017
0.617 0.146 0.017
0.617 0.600 0.471
0.854 0.383 0.983
0.854 0.871 0.471
```

Main lines, by angle (15 to 90 degrees two-theta):
two_theta	I (rel.)
18.75	36
29.34	100
30.84	9
33.72	22
34.57	10
38.86	10
48.43	18
49.06	34
57.64	31
58.76	15
60.86	9
79.50	12

***

[2]
# LiAc2ScS5
Calculated XRD peak list, Cu Kα. Input: a PBE-relaxed structure.

```
LiAc2ScS5
1.0
2.044 -8.444 0.000
2.044 8.444 0.000
0.000 0.000 12.000
Li Ac Sc S
2 4 2 10
direct
0.052 0.948 0.500
0.948 0.052 0.000
0.371 0.629 0.342
0.392 0.608 0.724
0.608 0.392 0.224
0.629 0.371 0.842
0.302 0.698 0.048
0.698 0.302 0.548
0.002 0.998 0.818
0.146 0.854 0.039
0.190 0.810 0.403
0.214 0.786 0.693
0.444 0.556 0.095
0.556 0.444 0.595
0.786 0.214 0.193
0.810 0.190 0.903
0.854 0.146 0.539
0.998 0.002 0.318
```

Main lines, by angle (15 to 90 degrees two-theta):
two_theta	I (rel.)
21.04	59
22.37	70
24.63	78
25.80	35
26.93	66
30.86	41
31.74	100
34.44	40
35.22	51
37.66	48
39.02	36
44.29	36

***

[3]
# Sm3Bi2Ru
Calculated XRD peak list, Cu Kα. Input: a PBE-relaxed structure.

```
Sm3Bi2Ru
1.0
4.327 -6.058 0.000
4.327 6.058 0.000
-1.980 0.000 6.832
Sm Bi Ru
6 4 2
direct
0.000 0.500 0.000
0.112 0.246 0.487
0.246 0.112 0.987
0.500 0.000 0.500
0.754 0.888 0.013
0.888 0.754 0.513
0.284 0.716 0.750
0.424 0.576 0.250
0.576 0.424 0.750
0.716 0.284 0.250
0.115 0.885 0.250
0.885 0.115 0.750
```

Main lines, by angle (15 to 90 degrees two-theta):
two_theta	I (rel.)
26.33	13
28.84	57
29.21	100
31.82	15
32.33	13
33.17	17
36.92	22
38.54	54
44.30	38
44.89	10
53.66	12
59.80	12

***

[4]
# Cs2LaIrBr6
Calculated XRD peak list, Cu Kα. Input: a PBE-relaxed structure.

```
Cs2LaIrBr6
1.0
-3.994 3.994 5.656
3.994 -3.994 5.656
3.994 3.994 -5.656
Cs La Ir Br
2 1 1 6
direct
0.250 0.750 0.500
0.750 0.250 0.500
0.000 0.000 0.000
0.500 0.500 0.000
0.260 0.260 0.000
0.260 0.260 0.520
0.260 0.740 0.000
0.740 0.260 0.000
0.740 0.740 0.000
0.740 0.740 0.480
```

Main lines, by angle (15 to 90 degrees two-theta):
two_theta	I (rel.)
15.68	25
22.25	75
27.34	31
31.67	100
35.53	13
39.05	34
45.40	72
51.12	17
56.41	25
61.39	19
75.20	31
83.89	24